This entry pairs a crystal structure of Ac3Hg3Rh2 with its computed XRD peak list. Radiation: Cu Kα. Structure: a GGA-PBE-relaxed structure.

Main lines, by intensity (2θ from 15° to 90°):
2θ (°)  I_rel
33.35  100
29.72  68
35.20  56
30.68  52
37.07  49
37.59  47
26.91  47
31.91  45
39.21  43
32.29  37

Structure:
```
Ac3Hg3Rh2
1.0
7.9548 0.0000 0.0000
0.0000 18.3592 0.0000
0.0000 0.0000 5.9936
Ac Hg Rh
12 12 8
Cartesian
0.3516 1.9317 0.7101
0.3516 7.2479 0.7101
1.3080 4.5898 3.9896
2.6694 13.7694 0.9927
3.6258 11.1113 3.7069
3.6258 16.4275 3.7069
4.3290 1.9317 2.2867
4.3290 7.2479 2.2867
5.2854 4.5898 5.0009
6.6468 13.7694 2.0041
7.6031 11.1113 5.2835
7.6031 16.4275 5.2835
1.3472 13.7694 4.0145
1.4195 0.6250 3.6519
1.4195 8.5546 3.6519
2.5579 9.8046 0.6551
2.5579 17.7342 0.6551
2.6302 4.5898 1.0177
5.3246 13.7694 4.9759
5.3969 0.6250 5.3385
5.3969 8.5546 5.3385
6.5353 9.8046 2.3417
6.5353 17.7342 2.3417
6.6075 4.5898 1.9791
0.9152 11.4921 2.2997
0.9152 16.0467 2.2997
3.0622 2.3125 5.2965
3.0622 6.8671 5.2965
4.8926 11.4921 0.6971
4.8926 16.0467 0.6971
7.0396 2.3125 3.6940
7.0396 6.8671 3.6940
```